Structure and calculated PXRD pattern of TaTiP2 (a cell relaxed with PBE; Cu Kα (λ = 1.5418 Å)).
Kinematic intensities with the Lorentz-polarization factor, no thermal factor.

Atomic structure:
Cell: 3.3493 3.3493 6.4888 Å, 90.00 90.00 120.00°
Element x y z (fractional)
Ta 0.0000 0.0000 0.0000
Ti 0.0000 0.0000 0.5000
P 0.3333 0.6667 0.7455
P 0.6667 0.3333 0.2545

Largest 10 diffraction maxima, in order of rising 2θ, 2θ from 10° to 90°:
2theta, I (rel.)
13.6, 593
27.5, 198
30.8, 636
33.9, 526
41.8, 1000
54.8, 263
56.8, 185
66.0, 225
71.2, 253
82.9, 160

=====

Structure and calculated PXRD pattern of La2Tb2PmY4 (a cell relaxed with PBE; Cu Kα (λ = 1.5418 Å)).
Kinematic intensities with the Lorentz-polarization factor, no thermal factor.

Atomic structure:
Cell: 9.6367 9.6367 9.6752 Å, 115.25 115.25 21.83°
Element x y z (fractional)
La 0.1660 0.1660 0.4978
La 0.8340 0.8340 0.5022
Tb 0.3523 0.3523 0.8369
Tb 0.6477 0.6477 0.1631
Pm 0.5000 0.5000 0.5000
Y 0.0200 0.0200 0.8374
Y 0.3140 0.3140 0.1630
Y 0.6860 0.6860 0.8370
Y 0.9800 0.9800 0.1626

Largest 10 diffraction maxima, in order of rising 2θ, 2θ from 10° to 90°:
2theta, I (rel.)
28.5, 447
30.8, 496
31.5, 1000
33.1, 928
39.7, 152
50.0, 380
54.1, 199
57.3, 202
59.9, 438
85.5, 167

=====

Structure and calculated PXRD pattern of Sr3Tl8Cd3 (a cell relaxed with PBE; Cu Kα (λ = 1.5418 Å)).
Kinematic intensities with the Lorentz-polarization factor, no thermal factor.

Atomic structure:
Cell: 9.5675 9.5675 9.5675 Å, 149.09 104.93 83.36°
Element x y z (fractional)
Sr 0.0000 0.0000 0.0000
Sr 0.2886 0.2886 0.0000
Sr 0.7114 0.7114 0.0000
Tl 0.0001 0.3645 0.6356
Tl 0.9999 0.6355 0.3644
Tl 0.1455 0.8552 0.2904
Tl 0.2711 0.6355 0.6356
Tl 0.4352 0.1448 0.2904
Tl 0.5648 0.8552 0.7096
Tl 0.7289 0.3645 0.3644
Tl 0.8545 0.1448 0.7096
Cd 0.3513 0.5000 0.8513
Cd 0.5000 0.0000 0.5000
Cd 0.6487 0.5000 0.1487

Largest 10 diffraction maxima, in order of rising 2θ, 2θ from 10° to 90°:
2theta, I (rel.)
15.2, 278
24.9, 328
28.9, 691
29.3, 459
29.9, 855
31.5, 1000
35.2, 766
36.0, 737
38.5, 853
58.1, 441

=====

Structure and calculated PXRD pattern of Li2SeBr (a cell relaxed with PBE; Cu Kα (λ = 1.5418 Å)).
Kinematic intensities with the Lorentz-polarization factor, no thermal factor.

Atomic structure:
Cell: 7.4876 7.4876 7.4876 Å, 154.02 153.72 37.29°
Element x y z (fractional)
Li 0.0000 0.0000 0.0000
Li 0.7348 0.2348 0.5000
Se 0.3405 0.8405 0.5000
Br 0.5873 0.5873 0.0000

Largest 10 diffraction maxima, in order of rising 2θ, 2θ from 10° to 90°:
2theta, I (rel.)
25.1, 750
26.9, 638
27.2, 587
32.4, 413
32.7, 452
39.7, 1000
41.4, 254
41.6, 219
54.5, 436
78.3, 207

=====

Structure and calculated PXRD pattern of PrY2Ho12 (a cell relaxed with PBE; Cu Kα (λ = 1.5418 Å)).
Kinematic intensities with the Lorentz-polarization factor, no thermal factor.

Atomic structure:
Cell: 6.6018 6.6018 24.2701 Å, 92.28 92.28 114.70°
Element x y z (fractional)
Pr 0.2501 0.2501 0.0004
Pr 0.7499 0.7499 0.9996
Y 0.0682 0.0682 0.2730
Y 0.4317 0.4317 0.7271
Y 0.5683 0.5683 0.2729
Y 0.9318 0.9318 0.7270
Ho 0.0496 0.5514 0.2027
Ho 0.0830 0.5829 0.3313
Ho 0.1374 0.6385 0.5549
Ho 0.1434 0.1434 0.5737
Ho 0.2154 0.2154 0.8616
Ho 0.2315 0.7316 0.9242
Ho 0.2684 0.7685 0.0758
Ho 0.2848 0.2848 0.1393
Ho 0.3575 0.3575 0.4257
Ho 0.3615 0.8626 0.4451
Ho 0.4171 0.9170 0.6687
Ho 0.4486 0.9504 0.7973
Ho 0.5514 0.0496 0.2027
Ho 0.5829 0.0830 0.3313
Ho 0.6385 0.1374 0.5549
Ho 0.6425 0.6425 0.5743
Ho 0.7152 0.7152 0.8607
Ho 0.7316 0.2315 0.9242
Ho 0.7685 0.2684 0.0758
Ho 0.7846 0.7846 0.1384
Ho 0.8566 0.8566 0.4263
Ho 0.8626 0.3615 0.4451
Ho 0.9170 0.4171 0.6687
Ho 0.9504 0.4486 0.7973

Largest 10 diffraction maxima, in order of rising 2θ, 2θ from 10° to 90°:
2theta, I (rel.)
30.3, 431
30.4, 924
31.2, 631
32.2, 1000
32.3, 505
32.5, 927
33.7, 471
36.2, 365
46.3, 373
60.1, 356

=====

> What is the formula in the first record?

TaTiP2